Dy2HoEr4Mg: theoretical X-ray diffraction stick pattern (CuKα), based on DFT lattice parameters and positions (GGA-PBE).

The 10 most intense peaks (10 to 80 degrees two-theta), low angle first:
2θ (°)  d [Å]  I/Imax
20.15  4.407  4
31.41  2.848  100
36.21  2.481  17
36.54  2.459  33
52.39  1.746  24
52.63  1.739  12
62.15  1.494  14
62.53  1.485  14
62.65  1.483  14
65.56  1.424  12

Structural model:
abc: 4.912 4.924 9.923
angles: 90.00 90.00 90.00
Atoms (fractional coordinates):
Dy (0.000, 0.000, 0.000)
Dy (0.500, 0.500, 0.500)
Ho (0.000, 0.000, 0.500)
Er (0.000, 0.500, 0.249)
Er (0.000, 0.500, 0.751)
Er (0.500, 0.000, 0.249)
Er (0.500, 0.000, 0.751)
Mg (0.500, 0.500, 0.000)

Nd2DyHo2Er: theoretical X-ray diffraction stick pattern (CuKα), based on DFT lattice parameters and positions (GGA-PBE).

The 10 most intense peaks (10 to 80 degrees two-theta), low angle first:
2θ (°)  d [Å]  I/Imax
31.42  2.847  91
31.70  2.822  100
41.07  2.198  11
45.24  2.004  33
52.23  1.751  8
56.29  1.634  35
56.47  1.629  19
62.40  1.488  29
66.23  1.411  12
75.14  1.264  15

Structural model:
abc: 7.006 5.644 9.777
angles: 90.00 90.00 90.00
Atoms (fractional coordinates):
Nd (0.000, 0.000, 0.000)
Nd (0.250, 0.500, 0.178)
Nd (0.500, 0.000, 0.000)
Nd (0.750, 0.500, 0.822)
Dy (0.250, 0.000, 0.659)
Dy (0.750, 0.000, 0.341)
Ho (0.250, 0.000, 0.332)
Ho (0.250, 0.500, 0.836)
Ho (0.750, 0.000, 0.668)
Ho (0.750, 0.500, 0.164)
Er (0.000, 0.500, 0.500)
Er (0.500, 0.500, 0.500)

NdDy2HoEr2: theoretical X-ray diffraction stick pattern (CuKα), based on DFT lattice parameters and positions (GGA-PBE).

The 10 most intense peaks (10 to 80 degrees two-theta), low angle first:
2θ (°)  d [Å]  I/Imax
26.84  3.322  17
29.08  3.071  56
30.47  2.934  100
31.45  2.845  21
33.45  2.679  23
34.10  2.629  34
36.18  2.483  20
41.32  2.185  40
56.09  1.640  21
65.22  1.430  21

Structural model:
abc: 6.553 17.623 3.382
angles: 90.00 90.00 90.00
Atoms (fractional coordinates):
Nd (0.000, 0.000, 0.000)
Nd (0.500, 0.500, 0.500)
Dy (0.224, 0.350, 0.500)
Dy (0.276, 0.850, 0.000)
Dy (0.724, 0.150, 0.000)
Dy (0.776, 0.650, 0.500)
Ho (0.000, 0.500, 0.000)
Ho (0.500, 0.000, 0.500)
Er (0.227, 0.183, 0.000)
Er (0.273, 0.683, 0.500)
Er (0.727, 0.317, 0.500)
Er (0.773, 0.817, 0.000)

NdDy6Ho2Er3: theoretical X-ray diffraction stick pattern (CuKα), based on DFT lattice parameters and positions (GGA-PBE).

The 8 most intense peaks (10 to 80 degrees two-theta), low angle first:
2θ (°)  d [Å]  I/Imax
30.95  2.890  100
35.88  2.503  51
51.65  1.770  36
61.40  1.510  14
61.46  1.509  28
64.49  1.445  12
75.99  1.252  2
76.10  1.251  4

Structural model:
abc: 6.129 6.129 11.736
angles: 94.97 94.97 119.95
Atoms (fractional coordinates):
Nd (0.000, 0.000, 0.000)
Dy (0.085, 0.419, 0.252)
Dy (0.250, 0.250, 0.748)
Dy (0.419, 0.085, 0.252)
Dy (0.581, 0.915, 0.748)
Dy (0.750, 0.750, 0.252)
Dy (0.915, 0.581, 0.748)
Ho (0.333, 0.667, 0.000)
Ho (0.667, 0.333, 0.000)
Er (0.167, 0.833, 0.500)
Er (0.500, 0.500, 0.500)
Er (0.833, 0.167, 0.500)

Nd2DyHoEr: theoretical X-ray diffraction stick pattern (CuKα), based on DFT lattice parameters and positions (GGA-PBE).

The 10 most intense peaks (10 to 80 degrees two-theta), low angle first:
2θ (°)  d [Å]  I/Imax
26.19  3.402  46
27.79  3.210  29
29.02  3.077  50
31.08  2.877  58
32.49  2.756  100
32.78  2.732  27
35.62  2.520  49
39.74  2.268  35
45.58  1.990  67
65.79  1.420  28

Structural model:
abc: 7.135 7.135 7.281
angles: 90.00 90.00 107.52
Atoms (fractional coordinates):
Nd (0.194, 0.194, 0.000)
Nd (0.194, 0.194, 0.500)
Nd (0.806, 0.806, 0.000)
Nd (0.806, 0.806, 0.500)
Dy (0.232, 0.768, 0.750)
Dy (0.768, 0.232, 0.250)
Ho (0.223, 0.777, 0.250)
Ho (0.777, 0.223, 0.750)
Er (0.493, 0.507, 0.250)
Er (0.507, 0.493, 0.750)

Nd2Dy4Ho2Er: theoretical X-ray diffraction stick pattern (CuKα), based on DFT lattice parameters and positions (GGA-PBE).

The 10 most intense peaks (10 to 80 degrees two-theta), low angle first:
2θ (°)  d [Å]  I/Imax
29.78  3.000  42
31.31  2.857  59
31.84  2.810  100
32.45  2.759  94
42.81  2.112  16
44.69  2.028  13
48.36  1.882  17
55.67  1.651  21
56.85  1.620  19
58.75  1.572  19

Structural model:
abc: 6.005 6.622 8.553
angles: 79.68 70.32 65.27
Atoms (fractional coordinates):
Nd (0.230, 0.324, 0.341)
Nd (0.770, 0.676, 0.659)
Dy (0.114, 0.125, 0.764)
Dy (0.243, 0.572, 0.886)
Dy (0.757, 0.428, 0.114)
Dy (0.886, 0.875, 0.236)
Ho (0.323, 0.770, 0.444)
Ho (0.677, 0.230, 0.556)
Er (0.500, 0.000, 0.000)

NdDyHo4Er2: theoretical X-ray diffraction stick pattern (CuKα), based on DFT lattice parameters and positions (GGA-PBE).

The 10 most intense peaks (10 to 80 degrees two-theta), low angle first:
2θ (°)  d [Å]  I/Imax
30.94  2.890  100
35.84  2.505  34
35.96  2.497  17
51.59  1.772  12
51.68  1.769  24
61.38  1.510  29
61.55  1.507  14
64.49  1.445  12
75.96  1.253  4
76.26  1.249  2

Structural model:
abc: 7.090 7.083 9.989
angles: 90.00 90.04 90.00
Atoms (fractional coordinates):
Nd (0.000, 0.000, 0.000)
Nd (0.000, 0.500, 0.500)
Dy (0.000, 0.000, 0.500)
Dy (0.500, 0.000, 0.500)
Ho (0.252, 0.250, 0.249)
Ho (0.252, 0.250, 0.751)
Ho (0.252, 0.750, 0.249)
Ho (0.252, 0.750, 0.751)
Ho (0.748, 0.250, 0.249)
Ho (0.748, 0.250, 0.751)
Ho (0.748, 0.750, 0.249)
Ho (0.748, 0.750, 0.751)
Er (0.000, 0.500, 0.000)
Er (0.500, 0.000, 0.000)
Er (0.500, 0.500, 0.000)
Er (0.500, 0.500, 0.500)

Pm6Dy2HoEr: theoretical X-ray diffraction stick pattern (CuKα), based on DFT lattice parameters and positions (GGA-PBE).

The 10 most intense peaks (10 to 80 degrees two-theta), low angle first:
2θ (°)  d [Å]  I/Imax
27.82  3.207  22
28.33  3.150  41
30.26  2.954  53
30.50  2.931  58
30.90  2.894  41
31.19  2.867  100
31.94  2.802  24
33.61  2.666  39
34.30  2.615  15
50.55  1.805  11

Structural model:
abc: 8.908 8.908 9.614
angles: 93.90 93.90 117.88
Atoms (fractional coordinates):
Pm (0.013, 0.566, 0.187)
Pm (0.119, 0.761, 0.554)
Pm (0.239, 0.881, 0.946)
Pm (0.291, 0.508, 0.381)
Pm (0.434, 0.987, 0.313)
Pm (0.492, 0.709, 0.119)
Pm (0.508, 0.291, 0.881)
Pm (0.566, 0.013, 0.687)
Pm (0.709, 0.492, 0.619)
Pm (0.761, 0.119, 0.054)
Pm (0.881, 0.239, 0.446)
Pm (0.987, 0.434, 0.813)
Dy (0.199, 0.299, 0.045)
Dy (0.299, 0.199, 0.545)
Dy (0.701, 0.801, 0.455)
Dy (0.801, 0.701, 0.955)
Ho (0.410, 0.590, 0.750)
Ho (0.590, 0.410, 0.250)
Er (0.027, 0.973, 0.250)
Er (0.973, 0.027, 0.750)

PmDyHo4Er2: theoretical X-ray diffraction stick pattern (CuKα), based on DFT lattice parameters and positions (GGA-PBE).

The 10 most intense peaks (10 to 80 degrees two-theta), low angle first:
2θ (°)  d [Å]  I/Imax
30.99  2.886  100
35.91  2.501  34
36.00  2.495  17
51.63  1.770  6
51.75  1.766  30
61.49  1.508  25
61.61  1.505  18
64.57  1.443  9
64.67  1.441  3
76.12  1.251  4

Structural model:
abc: 7.067 7.081 9.980
angles: 90.04 90.05 90.04
Atoms (fractional coordinates):
Pm (0.000, 0.000, 0.000)
Pm (0.000, 0.500, 0.500)
Dy (0.000, 0.000, 0.500)
Dy (0.500, 0.000, 0.500)
Ho (0.251, 0.250, 0.249)
Ho (0.251, 0.250, 0.751)
Ho (0.251, 0.750, 0.750)
Ho (0.252, 0.750, 0.249)
Ho (0.748, 0.250, 0.751)
Ho (0.749, 0.250, 0.250)
Ho (0.749, 0.750, 0.249)
Ho (0.749, 0.750, 0.751)
Er (0.000, 0.500, 0.000)
Er (0.500, 0.000, 0.000)
Er (0.500, 0.500, 0.000)
Er (0.500, 0.500, 0.500)

PmDyHo2Er4: theoretical X-ray diffraction stick pattern (CuKα), based on DFT lattice parameters and positions (GGA-PBE).

The 10 most intense peaks (10 to 80 degrees two-theta), low angle first:
2θ (°)  d [Å]  I/Imax
26.97  3.306  46
30.59  2.923  100
41.23  2.190  89
54.36  1.688  20
55.60  1.653  6
61.71  1.503  27
63.67  1.461  12
64.80  1.439  24
70.43  1.337  12
70.47  1.336  6

Structural model:
abc: 9.448 9.448 6.752
angles: 110.93 110.93 88.83
Atoms (fractional coordinates):
Pm (0.000, 0.500, 0.000)
Pm (0.500, 0.000, 0.500)
Dy (0.000, 0.000, 0.000)
Dy (0.000, 0.000, 0.500)
Ho (0.000, 0.500, 0.500)
Ho (0.500, 0.000, 0.000)
Ho (0.500, 0.500, 0.000)
Ho (0.500, 0.500, 0.500)
Er (0.249, 0.252, 0.499)
Er (0.250, 0.749, 0.501)
Er (0.251, 0.750, 0.999)
Er (0.252, 0.249, 0.999)
Er (0.748, 0.751, 0.001)
Er (0.749, 0.250, 0.001)
Er (0.750, 0.251, 0.499)
Er (0.751, 0.748, 0.501)

Pr2DyHo4Er2: theoretical X-ray diffraction stick pattern (CuKα), based on DFT lattice parameters and positions (GGA-PBE).

The 10 most intense peaks (10 to 80 degrees two-theta), low angle first:
2θ (°)  d [Å]  I/Imax
30.74  2.908  100
35.64  2.519  51
51.23  1.783  6
51.31  1.781  30
60.99  1.519  36
61.05  1.518  7
63.98  1.455  6
64.08  1.453  6
75.46  1.260  2
75.50  1.259  4

Structural model:
abc: 6.166 6.168 7.968
angles: 82.55 75.13 80.46
Atoms (fractional coordinates):
Pr (0.168, 0.332, 0.332)
Pr (0.832, 0.668, 0.668)
Dy (0.500, 0.000, 0.000)
Ho (0.057, 0.110, 0.780)
Ho (0.277, 0.555, 0.889)
Ho (0.723, 0.445, 0.111)
Ho (0.943, 0.890, 0.220)
Er (0.391, 0.777, 0.444)
Er (0.609, 0.223, 0.556)

Dy3HoEr3S8: theoretical X-ray diffraction stick pattern (CuKα), based on DFT lattice parameters and positions (GGA-PBE).

The 10 most intense peaks (10 to 80 degrees two-theta), low angle first:
2θ (°)  d [Å]  I/Imax
13.99  6.332  13
16.17  5.483  7
26.97  3.306  9
28.19  3.166  74
32.66  2.742  100
46.87  1.939  72
55.59  1.653  36
58.32  1.582  19
68.44  1.371  11
77.92  1.226  32

Structural model:
abc: 7.759 7.759 7.759
angles: 59.91 59.91 59.91
Atoms (fractional coordinates):
Dy (0.000, 0.500, 0.500)
Dy (0.500, 0.000, 0.500)
Dy (0.500, 0.500, 0.000)
Ho (0.500, 0.500, 0.500)
Er (0.000, 0.000, 0.500)
Er (0.000, 0.500, 0.000)
Er (0.500, 0.000, 0.000)
S (0.247, 0.751, 0.751)
S (0.249, 0.249, 0.249)
S (0.249, 0.249, 0.753)
S (0.249, 0.753, 0.249)
S (0.751, 0.247, 0.751)
S (0.751, 0.751, 0.247)
S (0.751, 0.751, 0.751)
S (0.753, 0.249, 0.249)

DyHo3Er3S8: theoretical X-ray diffraction stick pattern (CuKα), based on DFT lattice parameters and positions (GGA-PBE).

The 10 most intense peaks (10 to 80 degrees two-theta), low angle first:
2θ (°)  d [Å]  I/Imax
14.02  6.317  13
27.03  3.299  9
28.25  3.159  74
32.74  2.735  100
46.98  1.934  72
55.73  1.650  36
58.44  1.579  25
68.62  1.368  11
75.79  1.255  15
78.13  1.223  32

Structural model:
abc: 7.739 7.739 7.739
angles: 59.96 59.96 59.96
Atoms (fractional coordinates):
Dy (0.000, 0.000, 0.000)
Ho (0.000, 0.000, 0.500)
Ho (0.000, 0.500, 0.000)
Ho (0.500, 0.000, 0.000)
Er (0.000, 0.500, 0.500)
Er (0.500, 0.000, 0.500)
Er (0.500, 0.500, 0.000)
S (0.251, 0.251, 0.251)
S (0.252, 0.252, 0.746)
S (0.252, 0.746, 0.252)
S (0.254, 0.748, 0.748)
S (0.746, 0.252, 0.252)
S (0.748, 0.254, 0.748)
S (0.748, 0.748, 0.254)
S (0.749, 0.749, 0.749)